Diffraction record for Li12Cr3FeP4C4O28. The PXRD pattern is simulated, not measured: it uses a GGA+U-relaxed structure and Cu Kα X-rays.
Intensities are scaled so that the largest is 1000.

Principal peaks in the range 10 to 80 degrees two-theta, by angle:
| 2θ (°) | intensity |
| --- | --- |
| 10.3 | 840 |
| 19.8 | 366 |
| 21.2 | 477 |
| 25.3 | 251 |
| 26.2 | 328 |
| 27.6 | 1000 |
| 36.7 | 276 |
| 39.9 | 231 |

Structural model:
a = 8.650 Å, b = 6.470 Å, c = 10.028 Å
α = 90.00°, β = 94.39°, γ = 90.00°
Element x y z (fractional)
1 Li 0.000 0.000 0.000
2 Li 0.000 0.000 0.500
3 Li 0.176 0.226 0.255
4 Li 0.176 0.774 0.255
5 Li 0.177 0.226 0.756
6 Li 0.177 0.774 0.756
7 Li 0.629 0.274 0.005
8 Li 0.629 0.275 0.506
9 Li 0.629 0.725 0.506
10 Li 0.629 0.726 0.005
11 Li 0.806 0.500 0.260
12 Li 0.808 0.500 0.763
13 Cr 0.237 0.500 0.488
14 Cr 0.567 0.000 0.274
15 Cr 0.568 0.000 0.774
16 Fe 0.237 0.500 0.986
17 P 0.314 0.000 0.021
18 P 0.314 0.000 0.521
19 P 0.489 0.500 0.240
20 P 0.492 0.500 0.739
21 C 0.871 0.000 0.234
22 C 0.871 0.000 0.734
23 C 0.934 0.500 0.527
24 C 0.937 0.500 0.030
25 O 0.013 0.000 0.198
26 O 0.013 0.000 0.698
27 O 0.049 0.500 0.125
28 O 0.049 0.500 0.620
29 O 0.215 0.186 0.466
30 O 0.215 0.187 0.965
31 O 0.215 0.813 0.965
32 O 0.215 0.814 0.466
33 O 0.323 0.000 0.176
34 O 0.324 0.000 0.677
35 O 0.325 0.500 0.290
36 O 0.325 0.500 0.785
37 O 0.474 0.500 0.083
38 O 0.480 0.000 0.474
39 O 0.480 0.000 0.974
40 O 0.483 0.500 0.584
41 O 0.590 0.314 0.293
42 O 0.590 0.686 0.293
43 O 0.591 0.314 0.796
44 O 0.591 0.686 0.796
45 O 0.756 0.000 0.141
46 O 0.756 0.000 0.641
47 O 0.792 0.500 0.564
48 O 0.793 0.500 0.060
49 O 0.841 0.000 0.358
50 O 0.842 0.000 0.858
51 O 0.963 0.500 0.404
52 O 0.973 0.500 0.907